Computed powder X-ray diffraction pattern of Hf2O for λ = 1.5418 Å (Cu Kα), from a structure optimized by DFT (GGA-PBE).
Lines closer than 0.1° are merged.

Structural model:
abc: 5.095 5.721 3.174
angles: 90.00 90.00 90.00
Space group Pnnm (No. 58)
Symmetry-distinct sites (fractional):
Hf 0.237 0.159 0.000
O 0.000 0.500 0.000

Peak list (12 most intense, 2θ from 10° to 80°, in order of falling intensity)
d [Å]  I/Imax  hkl
2.437  100  1 1 1
2.494  62  1 2 0
2.547  35  2 0 0
1.376  28  2 3 1
2.776  25  0 1 1
1.635  22  0 3 1
1.877  22  2 1 1
1.449  19  3 1 1
1.339  18  1 2 2
1.460  11  3 2 0
1.587  10  0 0 2
1.347  10  2 0 2

=====

Computed powder X-ray diffraction pattern of Hf4O for λ = 1.5418 Å (Cu Kα), from a structure optimized by DFT (GGA-PBE).
Lines closer than 0.1° are merged.

Structural model:
abc: 10.181 11.194 6.464
angles: 90.00 90.00 90.00
Space group Fdd2 (No. 43)
Symmetry-distinct sites (fractional):
Hf 0.123 0.167 0.000
Hf 0.124 0.165 0.505
O 0.000 0.000 0.497

Peak list (11 most intense, 2θ from 10° to 80°, in order of falling intensity)
d [Å]  I/Imax  hkl
2.453  100  2 2 2
2.545  23  4 0 0
2.799  22  0 4 0
1.364  21  4 6 2
1.451  20  6 2 2
1.616  20  0 6 2
1.883  17  4 4 0
1.349  15  2 8 0
1.226  4  4 4 4
1.273  3  8 0 0
1.399  3  0 4 4

=====

Computed powder X-ray diffraction pattern of Hf4O for λ = 1.5418 Å (Cu Kα), from a structure optimized by DFT (GGA-PBE).
Lines closer than 0.1° are merged.

Structural model:
abc: 6.444 11.212 5.097
angles: 90.00 90.00 90.00
Space group Cmce (No. 64)
Symmetry-distinct sites (fractional):
Hf 0.000 0.168 0.245
Hf 0.250 0.081 0.750
O 0.000 0.000 0.500

Peak list (12 most intense, 2θ from 10° to 80°, in order of falling intensity)
d [Å]  I/Imax  hkl
2.452  100  0 4 1
2.548  24  0 0 2
1.452  20  0 4 3
1.884  17  2 2 2
2.794  15  2 2 0
1.365  14  2 6 2
1.617  13  2 6 0
1.347  11  4 4 1
1.362  7  4 0 2
1.611  6  4 0 0
2.803  6  0 4 0
1.351  5  0 8 1

=====

Computed powder X-ray diffraction pattern of Hf6OsO for λ = 1.5418 Å (Cu Kα), from a structure optimized by DFT (GGA-PBE).
Lines closer than 0.1° are merged.

Structural model:
abc: 4.983 5.693 5.839
angles: 97.87 113.92 90.32
Space group P-1 (No. 2)
Symmetry-distinct sites (fractional):
Hf 0.070 0.282 0.144
Hf 0.239 0.835 0.487
Hf 0.401 0.370 0.758
Os 0.500 0.000 0.000
O 0.000 0.500 0.500

Peak list (12 most intense, 2θ from 10° to 80°, in order of falling intensity)
d [Å]  I/Imax  hkl
2.454  100  1 1 1
2.491  57  2 0 -1
2.421  53  -1 1 2
2.468  40  1 -2 0
2.542  38  0 1 -2
1.759  22  2 1 -3
1.688  17  0 3 1
2.726  13  1 -1 1
1.800  13  2 -1 1
1.439  10  3 1 0
1.401  9  2 3 0
1.452  9  1 0 3

=====

Computed powder X-ray diffraction pattern of Hf2P2O9 for λ = 1.5418 Å (Cu Kα), from a structure optimized by DFT (GGA-PBE).
Lines closer than 0.1° are merged.

Structural model:
abc: 13.852 6.612 10.227
angles: 90.00 131.95 90.00
Space group C2/m (No. 12)
Symmetry-distinct sites (fractional):
Hf 0.057 0.000 0.404
Hf 0.185 0.500 0.136
P 0.093 0.500 0.335
P 0.170 0.000 0.039
O 0.016 0.500 0.132
O 0.033 0.000 0.853
O 0.072 0.310 0.396
O 0.114 0.000 0.656
O 0.185 0.190 0.138
O 0.227 0.500 0.978
O 0.234 0.500 0.401

Peak list (12 most intense, 2θ from 10° to 80°, in order of falling intensity)
d [Å]  I/Imax  hkl
5.547  100  1 1 -1
3.310  64  0 2 0
3.350  39  2 0 1
3.463  35  4 0 -2
2.360  22  3 1 -4
2.515  17  5 1 -3
2.353  16  2 2 1
3.048  14  3 1 0
2.154  13  1 3 -1
2.391  13  4 2 -2
2.716  12  1 1 2
1.661  11  3 3 -4

=====

Computed powder X-ray diffraction pattern of Hf2P2O9 for λ = 1.5418 Å (Cu Kα), from a structure optimized by DFT (GGA-PBE).
Lines closer than 0.1° are merged.

Structural model:
abc: 6.654 8.702 11.926
angles: 90.00 90.00 90.00
Space group Cmce (No. 64)
Symmetry-distinct sites (fractional):
Hf 0.000 0.206 0.062
P 0.000 0.106 0.353
O 0.000 0.000 0.000
O 0.000 0.065 0.623
O 0.000 0.139 0.228
O 0.176 0.191 0.415

Peak list (12 most intense, 2θ from 10° to 80°, in order of falling intensity)
d [Å]  I/Imax  hkl
2.596  100  1 1 4
5.963  84  0 0 2
3.955  79  1 1 2
3.327  72  2 0 0
4.351  59  0 2 0
1.743  54  3 1 4
3.515  37  0 2 2
4.087  31  0 2 1
2.022  25  3 1 2
1.667  24  1 5 1
1.360  20  3 5 1
1.985  20  0 0 6

=====

Computed powder X-ray diffraction pattern of HfP2O10 for λ = 1.5418 Å (Cu Kα), from a structure optimized by DFT (GGA-PBE).
Lines closer than 0.1° are merged.

Structural model:
abc: 5.418 6.638 12.542
angles: 90.00 102.08 90.00
Space group P2_1 (No. 4)
Symmetry-distinct sites (fractional):
Hf 0.180 0.000 0.370
P 0.233 0.499 0.443
P 0.397 0.443 0.815
O 0.056 0.497 0.525
O 0.129 0.507 0.763
O 0.181 0.688 0.371
O 0.186 0.310 0.371
O 0.234 0.716 0.992
O 0.288 0.538 0.127
O 0.385 0.215 0.849
O 0.414 0.983 0.257
O 0.491 0.000 0.493
O 0.497 0.046 0.072

Peak list (12 most intense, 2θ from 10° to 80°, in order of falling intensity)
d [Å]  I/Imax  hkl
5.838  100  0 1 1
4.503  76  1 0 -2
4.531  51  1 0 1
3.624  40  1 0 -3
3.319  34  0 2 0
3.202  32  0 2 1
3.649  31  1 0 2
2.680  27  1 2 1
4.135  27  1 1 -1
2.697  22  1 1 3
2.456  19  1 2 2
2.449  17  1 2 -3

=====

Computed powder X-ray diffraction pattern of HfP2RhO for λ = 1.5418 Å (Cu Kα), from a structure optimized by DFT (GGA-PBE).
Lines closer than 0.1° are merged.

Structural model:
abc: 5.064 5.064 3.842
angles: 90.00 90.00 90.00
Space group P4/mmm (No. 123)
Symmetry-distinct sites (fractional):
Hf 0.000 0.000 0.000
P 0.000 0.500 0.000
Rh 0.500 0.500 0.500
O 0.000 0.000 0.500

Peak list (12 most intense, 2θ from 10° to 80°, in order of falling intensity)
d [Å]  I/Imax  hkl
3.061  100  1 0 1
3.581  59  1 1 0
1.951  57  2 1 1
2.532  55  2 0 0
1.530  23  2 0 2
1.790  19  2 2 0
5.064  18  1 0 0
1.319  16  3 2 1
1.693  14  1 1 2
1.545  14  3 0 1
1.310  13  2 2 2
1.921  12  0 0 2

=====

Computed powder X-ray diffraction pattern of Hf6PbO18 for λ = 1.5418 Å (Cu Kα), from a structure optimized by DFT (GGA-PBE).
Lines closer than 0.1° are merged.

Structural model:
abc: 11.865 8.092 8.814
angles: 90.00 110.10 90.00
Space group C2/m (No. 12)
Symmetry-distinct sites (fractional):
Hf 0.087 0.245 0.335
Hf 0.250 0.250 0.000
Pb 0.000 0.500 0.000
O 0.000 0.268 0.500
O 0.038 0.500 0.270
O 0.088 0.000 0.305
O 0.099 0.215 0.798
O 0.126 0.295 0.119
O 0.236 0.500 0.950
O 0.250 0.250 0.500

Peak list (12 most intense, 2θ from 10° to 80°, in order of falling intensity)
d [Å]  I/Imax  hkl
4.051  100  0 2 0
2.864  63  2 2 -2
2.854  61  2 2 1
4.025  47  2 0 1
2.966  35  4 0 -1
2.759  28  0 0 3
1.812  21  2 4 -2
2.028  19  4 0 -4
2.023  19  0 4 0
2.013  18  4 0 2
1.688  16  6 2 0
1.694  16  6 2 -3

=====

Computed powder X-ray diffraction pattern of HfPbO3 for λ = 1.5418 Å (Cu Kα), from a structure optimized by DFT (GGA-PBE).
Lines closer than 0.1° are merged.

Structural model:
abc: 5.902 11.783 8.241
angles: 90.00 90.00 90.00
Space group Pbam (No. 55)
Symmetry-distinct sites (fractional):
Hf 0.242 0.124 0.250
Pb 0.204 0.375 0.000
Pb 0.208 0.370 0.500
O 0.000 0.000 0.230
O 0.000 0.500 0.210
O 0.025 0.259 0.278
O 0.210 0.598 0.500
O 0.231 0.653 0.000

Peak list (12 most intense, 2θ from 10° to 80°, in order of falling intensity)
d [Å]  I/Imax  hkl
2.931  100  1 2 2
2.948  48  0 4 0
1.699  36  1 6 2
2.085  23  2 4 0
1.689  20  0 4 4
1.465  15  2 4 4
2.060  13  0 0 4
1.305  9  1 2 6
1.317  7  3 6 2
1.318  6  2 8 0
1.473  4  0 8 0
1.756  3  3 1 2

=====

Computed powder X-ray diffraction pattern of HfPbO3 for λ = 1.5418 Å (Cu Kα), from a structure optimized by DFT (GGA-PBE).
Lines closer than 0.1° are merged.

Structural model:
abc: 7.657 5.516 7.621
angles: 90.00 112.08 90.00
Space group P2_1/c (No. 14)
Symmetry-distinct sites (fractional):
Hf 0.083 0.245 0.119
Pb 0.387 0.740 0.850
O 0.049 0.080 0.355
O 0.178 0.577 0.549
O 0.354 0.135 0.749

Peak list (12 most intense, 2θ from 10° to 80°, in order of falling intensity)
d [Å]  I/Imax  hkl
2.974  100  0 1 2
2.984  92  2 1 0
3.168  51  2 0 -2
2.758  42  0 2 0
1.632  38  0 3 2
2.080  35  2 2 -2
1.688  26  2 2 2
1.787  22  2 1 -4
2.134  20  2 0 2
2.747  16  2 1 -2
1.794  16  4 1 -2
1.487  11  0 2 4